# LiMnPO4
Calculated X-ray powder pattern, Cu Kα (weighted mean of Kα1 and Kα2). Input: DFT lattice parameters and positions (GGA+U).
Kinematic intensities with the Lorentz-polarization factor, no thermal factor.

Principal peaks in the range 5 to 70 degrees two-theta, sorted by position:
2θ (°), I_rel
21.51, 100
35.02, 61
36.41, 5
40.23, 10
42.68, 22
52.44, 10
55.37, 15
61.90, 14
64.61, 15
69.84, 6

Structural model:
```
data_LiMnPO4
_space_group_name_H-M_alt 'I -4'
_space_group_IT_number 82
_cell_length_a 4.9351
_cell_length_b 4.9351
_cell_length_c 7.5489
_cell_angle_alpha 90.00
_cell_angle_beta 90.00
_cell_angle_gamma 90.00
loop_
_space_group_symop_operation_xyz
'x,y,z'
'y,-x,-z'
'-x,-y,z'
'-y,x,-z'
'x+1/2,y+1/2,z+1/2'
'y+1/2,-x+1/2,-z+1/2'
'-x+1/2,-y+1/2,z+1/2'
'-y+1/2,x+1/2,-z+1/2'
loop_
_atom_site_label
_atom_site_fract_x
_atom_site_fract_y
_atom_site_fract_z
Li1 0.0000 0.0000 0.0000
Mn1 0.0000 0.0000 0.5000
P1 0.0000 0.5000 0.2500
O1 0.1783 0.3112 0.1327
```